Calculated powder X-ray diffraction pattern
Compound: Pr2Nd7Dy2
Radiation: CuKα
Structure: a structure optimized by DFT (GGA-PBE)
Lines closer than 0.1° are merged.

Structure:
Lattice parameters (Å, degrees): 6.504 8.610 13.950 96.90 93.86 96.85
Element x y z (fractional)
Pr: 0.135 0.232 0.021
Pr: 0.254 0.479 0.540
Pr: 0.746 0.521 0.460
Pr: 0.865 0.768 0.979
Nd: 0.101 0.813 0.642
Nd: 0.129 0.488 0.822
Nd: 0.355 0.392 0.267
Nd: 0.357 0.639 0.069
Nd: 0.363 0.910 0.886
Nd: 0.376 0.185 0.710
Nd: 0.391 0.130 0.445
Nd: 0.609 0.870 0.555
Nd: 0.624 0.815 0.290
Nd: 0.637 0.090 0.114
Nd: 0.643 0.361 0.931
Nd: 0.645 0.608 0.733
Nd: 0.871 0.512 0.178
Nd: 0.899 0.187 0.358
Dy: 0.136 0.759 0.390
Dy: 0.145 0.960 0.196
Dy: 0.855 0.040 0.804
Dy: 0.864 0.241 0.610

Peak list (10 most intense, 2θ from 10° to 80°, in order of falling intensity)
- d = 2.935 Å, 2θ = 30.45°, I = 100
- d = 2.762 Å, 2θ = 32.42°, I = 35
- d = 2.714 Å, 2θ = 33.00°, I = 30
- d = 2.916 Å, 2θ = 30.66°, I = 29
- d = 2.899 Å, 2θ = 30.85°, I = 28
- d = 3.089 Å, 2θ = 28.91°, I = 21
- d = 2.617 Å, 2θ = 34.27°, I = 16
- d = 3.200 Å, 2θ = 27.88°, I = 15
- d = 1.745 Å, 2θ = 52.45°, I = 10
- d = 1.608 Å, 2θ = 57.29°, I = 10